1.
# Ag3P3O10
Theoretical powder XRD pattern, Cu Ka. Input: a PBE-relaxed structure.
Intensities are scaled so that the largest is 100.

Principal peaks in the range 10° ≤ 2θ ≤ 80°, most intense first:
31.95 deg, intensity 100
24.92 deg, intensity 69
34.49 deg, intensity 68
21.39 deg, intensity 62
27.55 deg, intensity 54
33.83 deg, intensity 33
23.67 deg, intensity 32
32.52 deg, intensity 27
12.49 deg, intensity 26
16.53 deg, intensity 23

Cell and atoms:
```
Ag3P3O10
1.0
5.795 -5.363 0.000
5.795 5.363 0.000
-5.365 0.000 7.519
Ag P O
6 6 20
Direct
0.005 0.327 0.550
0.174 0.826 0.000
0.327 0.005 0.550
0.673 0.995 0.450
0.826 0.174 0.000
0.995 0.673 0.450
0.215 0.215 0.919
0.285 0.562 0.236
0.438 0.715 0.764
0.562 0.285 0.236
0.715 0.438 0.764
0.785 0.785 0.081
0.101 0.101 0.948
0.158 0.516 0.300
0.177 0.177 0.441
0.178 0.178 0.733
0.204 0.439 0.021
0.235 0.677 0.730
0.323 0.765 0.270
0.439 0.204 0.021
0.484 0.842 0.700
0.486 0.486 0.306
0.514 0.514 0.694
0.516 0.158 0.300
0.561 0.796 0.979
0.677 0.235 0.730
0.765 0.323 0.270
0.796 0.561 0.979
0.822 0.822 0.267
0.823 0.823 0.559
0.842 0.484 0.700
0.899 0.899 0.052
```

=====

2.
# Ag2P2PbO7
Theoretical powder XRD pattern, Cu Ka. Input: a PBE-relaxed structure.
Intensities are scaled so that the largest is 100.

Principal peaks in the range 10° ≤ 2θ ≤ 80°, most intense first:
28.17 deg, intensity 100
29.77 deg, intensity 79
27.81 deg, intensity 61
30.78 deg, intensity 58
19.52 deg, intensity 53
17.67 deg, intensity 46
32.58 deg, intensity 45
31.36 deg, intensity 31
27.44 deg, intensity 29
39.82 deg, intensity 26

Cell and atoms:
```
Ag2P2PbO7
1.0
5.506 0.000 0.000
-2.583 6.619 0.000
-0.594 -3.674 9.737
Ag P Pb O
4 4 2 14
Direct
0.092 0.270 0.027
0.337 0.604 0.806
0.663 0.396 0.194
0.908 0.730 0.973
0.270 0.653 0.362
0.491 0.865 0.163
0.509 0.135 0.837
0.730 0.347 0.638
0.143 0.133 0.369
0.857 0.867 0.631
0.026 0.705 0.341
0.217 0.049 0.851
0.219 0.416 0.273
0.308 0.661 0.044
0.381 0.043 0.193
0.387 0.708 0.511
0.496 0.195 0.697
0.504 0.805 0.303
0.613 0.292 0.489
0.619 0.957 0.807
0.692 0.339 0.956
0.781 0.584 0.727
0.783 0.951 0.149
0.974 0.295 0.659
```

=====

3.
# Ag2P2PdO7
Theoretical powder XRD pattern, Cu Ka. Input: a PBE-relaxed structure.
Intensities are scaled so that the largest is 100.

Principal peaks in the range 10° ≤ 2θ ≤ 80°, most intense first:
27.48 deg, intensity 100
31.77 deg, intensity 55
33.11 deg, intensity 47
21.37 deg, intensity 42
24.94 deg, intensity 39
31.97 deg, intensity 33
22.89 deg, intensity 32
42.68 deg, intensity 31
16.47 deg, intensity 28
37.43 deg, intensity 28

Cell and atoms:
```
Ag2P2PdO7
1.0
8.010 -2.905 0.000
8.010 2.905 0.000
-3.778 0.000 7.435
Ag P Pd O
4 4 2 14
Direct
0.094 0.375 0.294
0.375 0.094 0.794
0.625 0.906 0.206
0.906 0.625 0.706
0.242 0.557 0.158
0.443 0.758 0.342
0.557 0.242 0.658
0.758 0.443 0.842
0.000 0.000 0.000
0.000 0.000 0.500
0.081 0.708 0.305
0.103 0.689 0.995
0.292 0.919 0.195
0.301 0.341 0.595
0.311 0.897 0.505
0.341 0.301 0.095
0.474 0.526 0.250
0.526 0.474 0.750
0.659 0.699 0.905
0.689 0.103 0.495
0.699 0.659 0.405
0.708 0.081 0.805
0.897 0.311 0.005
0.919 0.292 0.695
```

=====

4.
# Ag5TePO4
Theoretical powder XRD pattern, Cu Ka. Input: a PBE-relaxed structure.
Intensities are scaled so that the largest is 100.

Principal peaks in the range 10° ≤ 2θ ≤ 80°, most intense first:
34.91 deg, intensity 100
35.54 deg, intensity 53
63.42 deg, intensity 27
17.55 deg, intensity 25
51.14 deg, intensity 20
44.64 deg, intensity 18
29.93 deg, intensity 14
27.73 deg, intensity 13
47.13 deg, intensity 11
51.80 deg, intensity 10

Cell and atoms:
```
Ag5TePO4
1.0
7.145 0.000 0.000
0.000 7.145 0.000
0.000 0.000 7.400
Ag Te P O
10 2 2 8
Direct
0.022 0.022 0.200
0.022 0.478 0.200
0.250 0.250 0.462
0.478 0.022 0.200
0.478 0.478 0.200
0.522 0.522 0.800
0.522 0.978 0.800
0.750 0.750 0.538
0.978 0.522 0.800
0.978 0.978 0.800
0.250 0.250 0.005
0.750 0.750 0.995
0.250 0.750 0.500
0.750 0.250 0.500
0.070 0.750 0.381
0.250 0.570 0.619
0.250 0.930 0.619
0.430 0.750 0.381
0.570 0.250 0.619
0.750 0.070 0.381
0.750 0.430 0.381
0.930 0.250 0.619
```

=====

5.
# Ag4TeP2O14
Theoretical powder XRD pattern, Cu Ka. Input: a PBE-relaxed structure.
Intensities are scaled so that the largest is 100.

Principal peaks in the range 10° ≤ 2θ ≤ 80°, most intense first:
25.31 deg, intensity 100
19.14 deg, intensity 86
26.66 deg, intensity 71
29.11 deg, intensity 46
28.68 deg, intensity 38
31.65 deg, intensity 37
32.81 deg, intensity 31
23.86 deg, intensity 28
46.55 deg, intensity 26
18.56 deg, intensity 26

Cell and atoms:
```
Ag4TeP2O14
1.0
5.596 0.000 0.000
0.000 18.794 0.000
-3.742 0.000 5.552
Ag Te P O
8 2 4 28
Direct
0.045 0.179 0.426
0.045 0.321 0.926
0.235 0.065 0.114
0.235 0.435 0.614
0.765 0.565 0.386
0.765 0.935 0.886
0.955 0.679 0.074
0.955 0.821 0.574
0.000 0.000 0.500
0.000 0.500 0.000
0.276 0.668 0.593
0.276 0.832 0.093
0.724 0.168 0.907
0.724 0.332 0.407
0.009 0.715 0.528
0.009 0.785 0.028
0.158 0.077 0.389
0.158 0.423 0.889
0.196 0.591 0.623
0.196 0.909 0.123
0.236 0.051 0.807
0.236 0.449 0.307
0.334 0.557 0.095
0.334 0.943 0.595
0.340 0.673 0.393
0.340 0.827 0.893
0.461 0.199 0.678
0.461 0.301 0.178
0.539 0.699 0.822
0.539 0.801 0.322
0.660 0.173 0.107
0.660 0.327 0.607
0.666 0.057 0.405
0.666 0.443 0.905
0.764 0.551 0.693
0.764 0.949 0.193
0.804 0.091 0.877
0.804 0.409 0.377
0.842 0.577 0.111
0.842 0.923 0.611
0.991 0.215 0.972
0.991 0.285 0.472
```

=====

6.
# ThAgPO
Theoretical powder XRD pattern, Cu Ka. Input: a PBE-relaxed structure.
Intensities are scaled so that the largest is 100.

Principal peaks in the range 10° ≤ 2θ ≤ 80°, most intense first:
30.21 deg, intensity 100
24.47 deg, intensity 76
33.32 deg, intensity 69
37.84 deg, intensity 59
45.42 deg, intensity 47
30.44 deg, intensity 40
55.52 deg, intensity 37
52.70 deg, intensity 33
55.66 deg, intensity 30
52.26 deg, intensity 21

Cell and atoms:
```
ThAgPO
1.0
3.993 0.000 0.000
0.000 3.993 0.000
0.000 0.000 8.811
Th Ag P O
2 2 2 2
Direct
0.250 0.250 0.154
0.750 0.750 0.846
0.250 0.750 0.500
0.750 0.250 0.500
0.250 0.250 0.702
0.750 0.750 0.298
0.250 0.750 0.000
0.750 0.250 0.000
```

=====

7.
# TlAgP2O6
Theoretical powder XRD pattern, Cu Ka. Input: a PBE-relaxed structure.
Intensities are scaled so that the largest is 100.

Principal peaks in the range 10° ≤ 2θ ≤ 80°, most intense first:
27.61 deg, intensity 100
26.46 deg, intensity 46
28.87 deg, intensity 38
23.44 deg, intensity 38
28.54 deg, intensity 34
29.35 deg, intensity 32
27.16 deg, intensity 32
15.60 deg, intensity 31
30.63 deg, intensity 21
49.30 deg, intensity 21

Cell and atoms:
```
TlAgP2O6
1.0
6.282 0.000 0.000
0.000 13.544 0.000
-0.692 0.000 7.590
Tl Ag P O
4 4 8 24
Direct
0.201 0.169 0.268
0.201 0.331 0.768
0.799 0.669 0.232
0.799 0.831 0.732
0.315 0.028 0.696
0.315 0.472 0.196
0.685 0.528 0.804
0.685 0.972 0.304
0.189 0.633 0.848
0.189 0.867 0.348
0.346 0.673 0.494
0.346 0.827 0.994
0.654 0.173 0.006
0.654 0.327 0.506
0.811 0.133 0.652
0.811 0.367 0.152
0.034 0.150 0.599
0.034 0.350 0.099
0.180 0.671 0.646
0.180 0.829 0.146
0.238 0.622 0.335
0.238 0.878 0.835
0.290 0.533 0.867
0.290 0.967 0.367
0.357 0.708 0.954
0.357 0.792 0.454
0.432 0.146 0.932
0.432 0.354 0.432
0.568 0.646 0.568
0.568 0.854 0.068
0.643 0.208 0.546
0.643 0.292 0.046
0.710 0.033 0.633
0.710 0.467 0.133
0.762 0.122 0.165
0.762 0.378 0.665
0.820 0.171 0.854
0.820 0.329 0.354
0.966 0.650 0.901
0.966 0.850 0.401
```

=====

8.
# Tl2Ag3P3O12
Theoretical powder XRD pattern, Cu Ka. Input: a PBE-relaxed structure.
Intensities are scaled so that the largest is 100.

Principal peaks in the range 10° ≤ 2θ ≤ 80°, most intense first:
30.65 deg, intensity 100
30.11 deg, intensity 70
33.37 deg, intensity 55
19.98 deg, intensity 48
20.53 deg, intensity 46
28.78 deg, intensity 43
40.35 deg, intensity 37
19.55 deg, intensity 34
33.66 deg, intensity 31
49.00 deg, intensity 25

Cell and atoms:
```
Tl2Ag3P3O12
1.0
6.576 -6.698 0.000
6.576 6.698 0.000
-2.942 0.000 6.174
Tl Ag P O
4 6 6 24
Direct
0.081 0.390 0.165
0.390 0.081 0.665
0.610 0.919 0.335
0.919 0.610 0.835
0.008 0.992 0.750
0.273 0.727 0.750
0.500 0.500 0.000
0.500 0.500 0.500
0.727 0.273 0.250
0.992 0.008 0.250
0.144 0.345 0.645
0.263 0.737 0.250
0.345 0.144 0.145
0.655 0.856 0.855
0.737 0.263 0.750
0.856 0.655 0.355
0.018 0.336 0.428
0.076 0.415 0.832
0.139 0.751 0.047
0.168 0.178 0.636
0.178 0.168 0.136
0.249 0.861 0.453
0.254 0.584 0.296
0.289 0.439 0.676
0.336 0.018 0.928
0.415 0.076 0.332
0.416 0.746 0.204
0.439 0.289 0.176
0.561 0.711 0.824
0.584 0.254 0.796
0.585 0.924 0.668
0.664 0.982 0.072
0.711 0.561 0.324
0.746 0.416 0.704
0.751 0.139 0.547
0.822 0.832 0.864
0.832 0.822 0.364
0.861 0.249 0.953
0.924 0.585 0.168
0.982 0.664 0.572
```

=====

9.
# ZnAg3P3O13
Theoretical powder XRD pattern, Cu Ka. Input: a PBE-relaxed structure.
Intensities are scaled so that the largest is 100.

Principal peaks in the range 10° ≤ 2θ ≤ 80°, most intense first:
28.77 deg, intensity 100
18.92 deg, intensity 70
27.68 deg, intensity 46
31.82 deg, intensity 43
29.98 deg, intensity 42
23.22 deg, intensity 40
25.17 deg, intensity 39
31.54 deg, intensity 37
37.63 deg, intensity 34
46.35 deg, intensity 33

Cell and atoms:
```
ZnAg3P3O13
1.0
7.887 0.000 0.000
0.000 6.446 0.000
-1.320 0.000 10.692
Zn Ag P O
2 6 6 26
Direct
0.104 0.250 0.144
0.896 0.750 0.856
0.171 0.250 0.780
0.245 0.750 0.434
0.500 0.000 0.000
0.500 0.500 0.000
0.755 0.250 0.566
0.829 0.750 0.220
0.169 0.750 0.118
0.239 0.750 0.757
0.275 0.250 0.499
0.725 0.750 0.501
0.761 0.250 0.243
0.831 0.250 0.882
0.001 0.250 0.969
0.112 0.572 0.782
0.112 0.750 0.253
0.112 0.928 0.782
0.122 0.250 0.579
0.250 0.068 0.403
0.250 0.432 0.403
0.266 0.541 0.108
0.266 0.959 0.108
0.307 0.750 0.630
0.390 0.250 0.908
0.397 0.750 0.856
0.440 0.250 0.587
0.560 0.750 0.413
0.603 0.250 0.144
0.610 0.750 0.092
0.693 0.250 0.370
0.734 0.041 0.892
0.734 0.459 0.892
0.750 0.568 0.597
0.750 0.932 0.597
0.878 0.750 0.421
0.888 0.072 0.218
0.888 0.250 0.747
0.888 0.428 0.218
0.999 0.750 0.031
```